Starting from a cell relaxed with PBE, the X-ray powder pattern of Ag4SeS was simulated for CuKα.
Intensities are scaled so that the largest is 100.

Principal peaks in the range 5 to 70 degrees two-theta, low angle first:
(1 0 0), 20.7 deg, rel. 100; (0 2 0), 31.1 deg, rel. 32; (1 2 0), 33.4 deg, rel. 33; (1 0 2), 36.4 deg, rel. 34; (1 -2 0), 41.6 deg, rel. 38; (0 2 2), 44.0 deg, rel. 26

Cell and atoms:
```
data_Ag4SeS
_chemical_formula_sum 'Ag4 Se1 S1'
_space_group_name_H-M_alt 'P 1'
_space_group_IT_number 1
_cell_length_a 4.3964
_cell_length_b 5.9081
_cell_length_c 5.9205
_cell_angle_alpha 89.76
_cell_angle_beta 88.18
_cell_angle_gamma 77.00
loop_
_space_group_symop_operation_xyz
'x,y,z'
loop_
_atom_site_label
_atom_site_fract_x
_atom_site_fract_y
_atom_site_fract_z
Ag1 0.0000 0.0000 0.0000
Ag2 0.0269 0.0333 0.4972
Ag3 0.0634 0.5278 0.5684
Ag4 0.9190 0.5193 0.0819
Se1 0.6722 0.3179 0.7657
S1 0.3037 0.7175 0.2547
```